# 1
Simulated X-ray diffraction stick pattern
Compound: CsInHg17
Radiation: CuKα
Structure: a cell relaxed with PBE
No peak broadening, texture or thermal motion is included.

Top 10 peaks for 2θ from 10° to 90°, low angle first:
- 27.9 deg, d = 3.193 Å, I 25
- 29.7 deg, d = 3.011 Å, I 52
- 31.7 deg, d = 2.821 Å, I 23
- 33.3 deg, d = 2.694 Å, I 100
- 34.4 deg, d = 2.607 Å, I 25
- 36.2 deg, d = 2.481 Å, I 18
- 37.6 deg, d = 2.393 Å, I 17
- 52.6 deg, d = 1.739 Å, I 17
- 57.0 deg, d = 1.616 Å, I 14
- 61.6 deg, d = 1.506 Å, I 12

Structure:
```
CsInHg17
1.0
5.217 3.012 6.019
-5.217 3.012 6.019
0.000 -6.024 6.019
Cs In Hg
1 1 17
direct
0.000 0.000 0.000
0.700 0.700 0.700
0.052 0.364 0.658
0.052 0.658 0.364
0.278 0.700 0.700
0.290 0.290 0.290
0.306 0.306 0.916
0.306 0.916 0.306
0.364 0.052 0.658
0.364 0.658 0.052
0.463 0.463 0.463
0.576 0.955 0.955
0.658 0.052 0.364
0.658 0.364 0.052
0.700 0.278 0.700
0.700 0.700 0.278
0.916 0.306 0.306
0.955 0.576 0.955
0.955 0.955 0.576
```



# 2
Simulated X-ray diffraction stick pattern
Compound: Cs3In3Hg8
Radiation: CuKα
Structure: a cell relaxed with PBE
No peak broadening, texture or thermal motion is included.

Top 10 peaks for 2θ from 10° to 90°, low angle first:
- 16.4 deg, d = 5.421 Å, I 17
- 28.4 deg, d = 3.145 Å, I 19
- 28.5 deg, d = 3.132 Å, I 100
- 29.7 deg, d = 3.008 Å, I 33
- 31.6 deg, d = 2.829 Å, I 39
- 31.9 deg, d = 2.803 Å, I 19
- 32.9 deg, d = 2.721 Å, I 79
- 37.0 deg, d = 2.430 Å, I 23
- 37.2 deg, d = 2.418 Å, I 28
- 37.5 deg, d = 2.399 Å, I 26

Structure:
```
Cs3In3Hg8
1.0
9.783 -2.719 0.000
9.783 2.719 0.000
-5.949 0.000 9.064
Cs In Hg
3 3 8
direct
0.000 0.000 0.000
0.291 0.291 0.263
0.709 0.709 0.737
0.000 0.000 0.500
0.330 0.330 0.656
0.670 0.670 0.344
0.123 0.123 0.838
0.140 0.140 0.440
0.355 0.355 0.983
0.492 0.492 0.662
0.508 0.508 0.338
0.645 0.645 0.017
0.860 0.860 0.560
0.877 0.877 0.162
```



# 3
Simulated X-ray diffraction stick pattern
Compound: CsIn2HgSb
Radiation: CuKα
Structure: a cell relaxed with PBE
No peak broadening, texture or thermal motion is included.

Top 10 peaks for 2θ from 10° to 90°, low angle first:
- 18.3 deg, d = 4.852 Å, I 25
- 27.5 deg, d = 3.240 Å, I 91
- 28.0 deg, d = 3.192 Å, I 100
- 34.0 deg, d = 2.640 Å, I 100
- 37.9 deg, d = 2.375 Å, I 56
- 40.4 deg, d = 2.231 Å, I 37
- 44.3 deg, d = 2.046 Å, I 50
- 48.8 deg, d = 1.867 Å, I 36
- 53.8 deg, d = 1.704 Å, I 32
- 57.2 deg, d = 1.611 Å, I 26

Structure:
```
CsIn2HgSb
1.0
-2.640 2.640 6.155
2.640 -2.640 6.155
2.640 2.640 -6.155
Cs In Hg Sb
1 2 1 1
direct
0.000 0.000 0.000
0.243 0.743 0.500
0.743 0.243 0.500
0.627 0.627 0.000
0.382 0.382 0.000
```